(1)
AcZnAu2: calculated X-ray diffraction stick pattern (Cu Kα (λ = 1.5418 Å)), based on a crystal structure in Alexandria, relaxed with PBE.
Peak positions follow from Bragg's law for the DFT cell and can differ from measured ones.

Atomic structure:
abc: 8.242 7.407 6.060
angles: 90.00 90.00 90.00
Space group Pnma (No. 62)
Inequivalent atoms, fractional coordinates:
Ac  0.039  0.250  0.146 x4
Zn  0.117  0.750  0.358 x4
Au  0.182  0.056  0.593 x8

Top 10 peaks for 10 to 80 degrees two-theta, by intensity:
- 2θ = 35.86°, I 100, (3 0 1)
- 2θ = 33.76°, I 67, (1 1 2)
- 2θ = 32.51°, I 62, (2 2 0)
- 2θ = 31.45°, I 48, (1 0 2)
- 2θ = 40.96°, I 43, (1 3 1)
- 2θ = 28.84°, I 41, (2 1 1)
- 2θ = 30.29°, I 37, (1 2 1)
- 2θ = 39.97°, I 28, (1 2 2)
- 2θ = 58.80°, I 26, (3 3 2)
- 2θ = 39.41°, I 22, (0 3 1)



(2)
AcZnAu11: calculated X-ray diffraction stick pattern (Cu Kα (λ = 1.5418 Å)), based on a crystal structure in Alexandria, relaxed with PBE.
Peak positions follow from Bragg's law for the DFT cell and can differ from measured ones.

Atomic structure:
abc: 5.608 13.244 7.384
angles: 90.00 110.42 90.00
Space group C2/m (No. 12)
Inequivalent atoms, fractional coordinates:
Ac  0.000  0.000  0.000 x2
Zn  0.000  0.500  0.500 x2
Au  0.000  0.000  0.500 x2
Au  0.095  0.392  0.225 x8
Au  0.170  0.173  0.349 x8
Au  0.250  0.250  0.000 x4

Top 10 peaks for 10 to 80 degrees two-theta, by intensity:
- 2θ = 37.59°, I 100, (0 4 2)
- 2θ = 42.21°, I 65, (2 0 -3)
- 2θ = 31.95°, I 43, (2 0 -1)
- 2θ = 36.36°, I 38, (1 1 2)
- 2θ = 36.80°, I 37, (2 2 0)
- 2θ = 38.04°, I 36, (1 5 0)
- 2θ = 66.80°, I 32, (4 0 -2)
- 2θ = 32.62°, I 29, (1 3 -2)
- 2θ = 37.33°, I 20, (1 1 -3)
- 2θ = 40.76°, I 20, (2 0 1)



(3)
AcZn3Au2: calculated X-ray diffraction stick pattern (Cu Kα (λ = 1.5418 Å)), based on a crystal structure in Alexandria, relaxed with PBE.
Peak positions follow from Bragg's law for the DFT cell and can differ from measured ones.

Atomic structure:
abc: 10.0789 10.0789 4.2926
angles: 90.00 90.00 120.00
Space group P6/mmm (No. 191)
Inequivalent atoms, fractional coordinates:
Ac  0.0000  0.0000  0.0000 x1
Ac  0.3333  0.6667  0.5000 x2
Zn  0.0000  0.3021  0.5000 x6
Zn  0.0000  0.5000  0.0000 x3
Au  0.1910  0.3820  0.0000 x6

Top 10 peaks for 10 to 80 degrees two-theta, by intensity:
- 2θ = 34.28°, I 100, (2 1 1)
- 2θ = 35.63°, I 59, (2 2 0)
- 2θ = 37.34°, I 55, (3 0 1)
- 2θ = 41.56°, I 36, (2 2 1)
- 2θ = 56.94°, I 33, (5 0 1)
- 2θ = 56.31°, I 32, (2 2 2)
- 2θ = 42.10°, I 32, (0 0 2)
- 2θ = 27.03°, I 19, (2 1 0)
- 2θ = 20.69°, I 17, (0 0 1)
- 2θ = 20.35°, I 17, (2 0 0)



(4)
AcZn5Au7: calculated X-ray diffraction stick pattern (Cu Kα (λ = 1.5418 Å)), based on a crystal structure in Alexandria, relaxed with PBE.
Peak positions follow from Bragg's law for the DFT cell and can differ from measured ones.

Atomic structure:
abc: 5.373 9.632 9.275
angles: 90.00 90.00 90.00
Space group Imm2 (No. 44)
Inequivalent atoms, fractional coordinates:
Ac  0.000  0.000  0.000 x2
Zn  0.000  0.500  0.254 x2
Zn  0.247  0.249  0.737 x8
Au  0.000  0.000  0.346 x2
Au  0.000  0.000  0.662 x2
Au  0.000  0.299  0.480 x4
Au  0.000  0.343  0.997 x4
Au  0.000  0.500  0.723 x2

Top 10 peaks for 10 to 80 degrees two-theta, by intensity:
- 2θ = 33.39°, I 100, (2 0 0)
- 2θ = 37.98°, I 95, (1 3 2)
- 2θ = 38.43°, I 85, (1 2 3)
- 2θ = 32.49°, I 75, (1 3 0)
- 2θ = 43.23°, I 67, (2 2 2)
- 2θ = 68.05°, I 42, (2 6 0)
- 2θ = 38.84°, I 34, (0 0 4)
- 2θ = 38.74°, I 32, (2 0 2)
- 2θ = 69.75°, I 32, (1 3 6)
- 2θ = 42.28°, I 27, (0 4 2)



(5)
Ac3ZnAu3: calculated X-ray diffraction stick pattern (Cu Kα (λ = 1.5418 Å)), based on a crystal structure in Alexandria, relaxed with PBE.
Peak positions follow from Bragg's law for the DFT cell and can differ from measured ones.

Atomic structure:
abc: 4.182 4.690 20.780
angles: 90.00 90.00 90.00
Space group Imm2 (No. 44)
Inequivalent atoms, fractional coordinates:
Ac  0.000  0.000  0.000 x2
Ac  0.000  0.000  0.365 x2
Ac  0.000  0.500  0.178 x2
Zn  0.000  0.500  0.747 x2
Au  0.000  0.000  0.532 x2
Au  0.000  0.000  0.819 x2
Au  0.000  0.500  0.621 x2

Top 10 peaks for 10 to 80 degrees two-theta, by intensity:
- 2θ = 29.89°, I 100, (1 1 2)
- 2θ = 33.49°, I 50, (1 1 4)
- 2θ = 30.32°, I 45, (1 0 5)
- 2θ = 35.80°, I 42, (0 1 7)
- 2θ = 38.39°, I 35, (0 2 0)
- 2θ = 38.84°, I 27, (1 1 6)
- 2θ = 43.27°, I 25, (2 0 0)
- 2θ = 25.72°, I 25, (0 0 6)
- 2θ = 49.68°, I 23, (1 2 5)
- 2θ = 57.37°, I 22, (2 1 7)



(6)
Ac3B11: calculated X-ray diffraction stick pattern (Cu Kα (λ = 1.5418 Å)), based on a crystal structure in Alexandria, relaxed with PBE.
Peak positions follow from Bragg's law for the DFT cell and can differ from measured ones.

Atomic structure:
abc: 15.457 7.507 3.204
angles: 90.00 94.95 90.00
Space group Cm (No. 8)
Inequivalent atoms, fractional coordinates:
Ac  0.000  0.000  0.000 x2
Ac  0.020  0.500  0.012 x2
Ac  0.262  0.500  0.503 x2
B  0.142  0.193  0.539 x4
B  0.163  0.213  0.048 x4
B  0.208  0.000  0.323 x2
B  0.259  0.115  0.866 x4
B  0.362  0.221  0.940 x4
B  0.398  0.230  0.455 x4

Top 10 peaks for 10 to 80 degrees two-theta, by intensity:
- 2θ = 33.34°, I 100, (4 2 0)
- 2θ = 23.10°, I 91, (4 0 0)
- 2θ = 23.70°, I 87, (0 2 0)
- 2θ = 13.12°, I 76, (1 1 0)
- 2θ = 38.07°, I 68, (2 2 -1)
- 2θ = 29.35°, I 58, (2 0 -1)
- 2θ = 39.59°, I 56, (2 2 1)
- 2θ = 31.25°, I 47, (2 0 1)
- 2θ = 31.41°, I 38, (5 1 0)
- 2θ = 11.49°, I 35, (2 0 0)



(7)
BaAc2B2O7: calculated X-ray diffraction stick pattern (Cu Kα (λ = 1.5418 Å)), based on a crystal structure in Alexandria, relaxed with PBE.
Peak positions follow from Bragg's law for the DFT cell and can differ from measured ones.

Atomic structure:
abc: 5.4950 5.4950 30.3038
angles: 90.00 90.00 120.00
Space group R32 (No. 155, hexagonal axes)
Inequivalent atoms, fractional coordinates:
Ba  0.0000  0.0000  0.0000 x3
Ac  0.0000  0.0000  0.4264 x6
B  0.0000  0.0000  0.2714 x6
O  0.0000  0.0000  0.5000 x3
O  0.0557  0.2762  0.7288 x18

Top 10 peaks for 10 to 80 degrees two-theta, by intensity:
- 2θ = 27.86°, I 100, (1 0 7)
- 2θ = 19.55°, I 90, (0 1 2)
- 2θ = 32.59°, I 64, (1 1 0)
- 2θ = 23.77°, I 58, (0 1 5)
- 2θ = 18.88°, I 55, (1 0 1)
- 2θ = 17.56°, I 36, (0 0 6)
- 2θ = 43.40°, I 28, (0 2 7)
- 2θ = 48.99°, I 28, (1 1 12)
- 2θ = 46.07°, I 27, (0 1 14)
- 2θ = 55.31°, I 26, (2 1 7)



(8)
Ac2BeB10: calculated X-ray diffraction stick pattern (Cu Kα (λ = 1.5418 Å)), based on a crystal structure in Alexandria, relaxed with PBE.
Peak positions follow from Bragg's law for the DFT cell and can differ from measured ones.

Atomic structure:
abc: 5.768 11.415 4.277
angles: 90.00 90.00 90.00
Space group Pbam (No. 55)
Inequivalent atoms, fractional coordinates:
Ac  0.194  0.135  0.000 x4
Be  0.000  0.500  0.500 x2
B  0.036  0.312  0.500 x4
B  0.128  0.958  0.500 x4
B  0.158  0.804  0.500 x4
B  0.200  0.387  0.203 x8

Top 10 peaks for 10 to 80 degrees two-theta, by intensity:
- 2θ = 30.37°, I 100, (1 2 1)
- 2θ = 21.91°, I 79, (1 2 0)
- 2θ = 20.77°, I 53, (0 0 1)
- 2θ = 37.90°, I 33, (0 4 1)
- 2θ = 48.10°, I 29, (1 2 2)
- 2θ = 31.34°, I 25, (0 4 0)
- 2θ = 37.62°, I 21, (2 0 1)
- 2θ = 44.70°, I 18, (2 4 0)
- 2θ = 31.01°, I 17, (2 0 0)
- 2θ = 49.75°, I 16, (2 4 1)



(9)
AcBi2B2O7: calculated X-ray diffraction stick pattern (Cu Kα (λ = 1.5418 Å)), based on a crystal structure in Alexandria, relaxed with PBE.
Peak positions follow from Bragg's law for the DFT cell and can differ from measured ones.

Atomic structure:
abc: 5.4300 5.4300 26.5683
angles: 90.00 90.00 120.00
Space group R32 (No. 155, hexagonal axes)
Inequivalent atoms, fractional coordinates:
Ac  0.0000  0.0000  0.0000 x3
Bi  0.0000  0.0000  0.4203 x6
B  0.0000  0.0000  0.2671 x6
O  0.0000  0.0000  0.5000 x3
O  0.0462  0.4652  0.3995 x18

Top 10 peaks for 10 to 80 degrees two-theta, by intensity:
- 2θ = 20.03°, I 100, (0 1 2)
- 2θ = 30.26°, I 73, (1 0 7)
- 2θ = 25.29°, I 72, (0 1 5)
- 2θ = 32.99°, I 62, (1 1 0)
- 2θ = 51.93°, I 40, (0 1 14)
- 2θ = 38.91°, I 37, (2 0 2)
- 2θ = 45.38°, I 36, (0 2 7)
- 2θ = 53.40°, I 32, (1 1 12)
- 2θ = 42.02°, I 29, (2 0 5)
- 2θ = 57.23°, I 22, (2 1 7)



(10)
AcB2C2: calculated X-ray diffraction stick pattern (Cu Kα (λ = 1.5418 Å)), based on a crystal structure in Alexandria, relaxed with PBE.
Peak positions follow from Bragg's law for the DFT cell and can differ from measured ones.

Atomic structure:
abc: 5.435 5.435 8.451
angles: 90.00 90.00 90.00
Space group I4/mcm (No. 140)
Inequivalent atoms, fractional coordinates:
Ac  0.000  0.000  0.250 x4
B  0.139  0.361  0.000 x8
C  0.160  0.340  0.500 x8

Top 10 peaks for 10 to 80 degrees two-theta, by intensity:
- 2θ = 31.46°, I 100, (1 1 2)
- 2θ = 23.14°, I 82, (1 1 0)
- 2θ = 39.42°, I 54, (2 0 2)
- 2θ = 21.02°, I 37, (0 0 2)
- 2θ = 32.96°, I 35, (2 0 0)
- 2θ = 57.92°, I 28, (3 1 2)
- 2θ = 53.30°, I 24, (3 1 0)
- 2θ = 49.21°, I 24, (1 1 4)
- 2θ = 52.30°, I 21, (2 2 2)
- 2θ = 70.65°, I 21, (3 1 4)



(11)
Ac2BCN: calculated X-ray diffraction stick pattern (Cu Kα (λ = 1.5418 Å)), based on a crystal structure in Alexandria, relaxed with PBE.
Peak positions follow from Bragg's law for the DFT cell and can differ from measured ones.

Atomic structure:
abc: 6.919 3.390 7.854
angles: 90.00 106.03 90.00
Space group P2_1/m (No. 11)
Inequivalent atoms, fractional coordinates:
Ac  0.219  0.250  0.422 x2
Ac  0.264  0.250  0.948 x2
B  0.412  0.750  0.721 x2
C  0.467  0.750  0.256 x2
N  0.188  0.750  0.664 x2

Top 10 peaks for 10 to 80 degrees two-theta, by intensity:
- 2θ = 29.58°, I 100, (1 1 0)
- 2θ = 35.64°, I 82, (1 1 -2)
- 2θ = 26.81°, I 64, (2 0 0)
- 2θ = 23.68°, I 38, (1 0 -2)
- 2θ = 23.57°, I 36, (0 0 2)
- 2θ = 30.53°, I 30, (2 0 -2)
- 2θ = 30.28°, I 29, (1 0 2)
- 2θ = 49.10°, I 24, (3 1 0)
- 2θ = 40.72°, I 23, (2 1 -2)
- 2θ = 40.53°, I 20, (1 1 2)



(12)
AcB2Pt2C: calculated X-ray diffraction stick pattern (Cu Kα (λ = 1.5418 Å)), based on a crystal structure in Alexandria, relaxed with PBE.
Peak positions follow from Bragg's law for the DFT cell and can differ from measured ones.

Atomic structure:
abc: 3.992 3.992 10.726
angles: 90.00 90.00 90.00
Space group I4/mmm (No. 139)
Inequivalent atoms, fractional coordinates:
Ac  0.000  0.000  0.000 x2
B  0.000  0.000  0.361 x4
Pt  0.000  0.500  0.250 x4
C  0.000  0.000  0.500 x2

Top 10 peaks for 10 to 80 degrees two-theta, by intensity:
- 2θ = 35.96°, I 100, (1 1 2)
- 2θ = 33.42°, I 29, (0 0 4)
- 2θ = 23.78°, I 29, (1 0 1)
- 2θ = 45.44°, I 28, (2 0 0)
- 2θ = 57.57°, I 25, (2 0 4)
- 2θ = 61.39°, I 22, (1 1 6)
- 2θ = 77.72°, I 22, (3 1 2)
- 2θ = 33.65°, I 16, (1 0 3)
- 2θ = 76.24°, I 11, (2 2 4)
- 2θ = 16.53°, I 11, (0 0 2)



(13)
AcB2Rh2C: calculated X-ray diffraction stick pattern (Cu Kα (λ = 1.5418 Å)), based on a crystal structure in Alexandria, relaxed with PBE.
Peak positions follow from Bragg's law for the DFT cell and can differ from measured ones.

Atomic structure:
abc: 3.984 3.984 10.379
angles: 90.00 90.00 90.00
Space group I4/mmm (No. 139)
Inequivalent atoms, fractional coordinates:
Ac  0.000  0.000  0.000 x2
B  0.000  0.000  0.354 x4
Rh  0.000  0.500  0.250 x4
C  0.000  0.000  0.500 x2

Top 10 peaks for 10 to 80 degrees two-theta, by intensity:
- 2θ = 36.29°, I 100, (1 1 2)
- 2θ = 23.93°, I 58, (1 0 1)
- 2θ = 34.33°, I 30, (1 0 3)
- 2θ = 45.54°, I 29, (2 0 0)
- 2θ = 34.57°, I 27, (0 0 4)
- 2θ = 58.41°, I 24, (2 0 4)
- 2θ = 78.06°, I 22, (3 1 2)
- 2θ = 63.06°, I 21, (1 1 6)
- 2θ = 52.09°, I 16, (2 1 1)
- 2θ = 58.25°, I 14, (2 1 3)